Record 1
# MnGa2S4
Calculated powder XRD pattern, λ = 1.5418 Å (Cu Kα). Input: a cell relaxed with GGA-PBE.

Principal peaks in the range 15° ≤ 2θ ≤ 90°, most intense first:
two_theta	I/Imax	h k l
22.2	1000	0 3 -1
27.7	926	-1 1 3
48.7	823	3 -1 2
48.8	655	1 5 0
44.3	455	1 -5 5
35.5	435	1 2 2
32.7	429	2 -3 1
48.0	389	0 0 6
28.2	386	2 0 -1
26.8	385	-1 2 2
29.1	381	1 1 2
29.6	366	1 2 -4

Cell lengths 6.4444, 12.3977, 13.0659 Å; angles 115.35, 99.04, 100.83 degrees
Space group P1 (No. 1)
Unique sites:
1 Mn 0.0000 0.0000 0.0000 (multiplicity 1)
2 Mn 0.0731 0.5674 0.1310 (multiplicity 1)
3 Mn 0.2417 0.7405 0.4784 (multiplicity 1)
4 Mn 0.4146 0.9114 0.8233 (multiplicity 1)
5 Mn 0.6562 0.6530 0.3060 (multiplicity 1)
6 Mn 0.8318 0.8268 0.6530 (multiplicity 1)
7 Ga 0.0873 0.9498 0.3146 (multiplicity 1)
8 Ga 0.2385 0.3647 0.3142 (multiplicity 1)
9 Ga 0.2468 0.1124 0.6464 (multiplicity 1)
10 Ga 0.4076 0.5345 0.6467 (multiplicity 1)
11 Ga 0.4088 0.3018 0.9683 (multiplicity 1)
12 Ga 0.5064 0.8992 0.1657 (multiplicity 1)
13 Ga 0.5705 0.6708 0.9685 (multiplicity 1)
14 Ga 0.6658 0.0297 0.4845 (multiplicity 1)
15 Ga 0.6672 0.2693 0.1644 (multiplicity 1)
16 Ga 0.8298 0.4555 0.4854 (multiplicity 1)
17 Ga 0.8373 0.2011 0.8168 (multiplicity 1)
18 Ga 0.9903 0.6167 0.8182 (multiplicity 1)
19 S 0.0329 0.7588 0.3022 (multiplicity 1)
20 S 0.0454 0.8083 0.8307 (multiplicity 1)
21 S 0.1071 0.3682 0.9651 (multiplicity 1)
22 S 0.1325 0.3746 0.4842 (multiplicity 1)
23 S 0.2073 0.9338 0.6542 (multiplicity 1)
24 S 0.2078 0.9686 0.1661 (multiplicity 1)
25 S 0.2798 0.5436 0.3016 (multiplicity 1)
26 S 0.2831 0.5270 0.8034 (multiplicity 1)
27 S 0.3613 0.1093 0.4841 (multiplicity 1)
28 S 0.3818 0.1289 0.9991 (multiplicity 1)
29 S 0.4535 0.6953 0.1351 (multiplicity 1)
30 S 0.4585 0.7205 0.6535 (multiplicity 1)
31 S 0.5284 0.2762 0.8018 (multiplicity 1)
32 S 0.5471 0.2916 0.3303 (multiplicity 1)
33 S 0.6160 0.8436 0.4765 (multiplicity 1)
34 S 0.6229 0.8740 0.9991 (multiplicity 1)
35 S 0.6944 0.4427 0.1337 (multiplicity 1)
36 S 0.7167 0.4587 0.6478 (multiplicity 1)
37 S 0.7925 0.0222 0.8298 (multiplicity 1)
38 S 0.7936 0.0401 0.3305 (multiplicity 1)
39 S 0.8611 0.5941 0.9630 (multiplicity 1)
40 S 0.8683 0.6331 0.4763 (multiplicity 1)
41 S 0.9412 0.1905 0.6467 (multiplicity 1)
42 S 0.9630 0.1976 0.1692 (multiplicity 1)

***

Record 2
# Na3MgCu2O4
Calculated powder XRD pattern, λ = 1.5418 Å (Cu Kα). Input: a cell relaxed with GGA-PBE.

Principal peaks in the range 15° ≤ 2θ ≤ 90°, most intense first:
two_theta	I/Imax	h k l
22.9	1000	0 0 2
22.4	909	2 0 1
41.8	905	3 1 -2
42.6	686	2 0 3
33.3	654	4 0 0
34.3	619	2 0 -3
33.4	556	1 1 1
38.5	519	3 1 -1
56.1	467	5 1 1
17.4	436	2 0 -1
54.8	397	1 1 -4
38.8	375	3 1 0

Cell lengths 11.1488, 3.0476, 8.0427 Å; angles 90.00, 105.22, 90.00 degrees
Space group Cm (No. 8)
Unique sites:
1 Na 0.0000 0.0000 0.0000 (multiplicity 2)
2 Na 0.0482 0.5000 0.3356 (multiplicity 2)
3 Na 0.2585 0.0000 0.8436 (multiplicity 2)
4 Mg 0.2655 0.0000 0.5245 (multiplicity 2)
5 Cu 0.0094 0.5000 0.6548 (multiplicity 2)
6 Cu 0.2891 0.5000 0.1861 (multiplicity 2)
7 O 0.1023 0.0000 0.5934 (multiplicity 2)
8 O 0.1956 0.0000 0.2681 (multiplicity 2)
9 O 0.3601 0.5000 0.6680 (multiplicity 2)
10 O 0.3815 0.0000 0.1072 (multiplicity 2)

***

Record 3
# Cd2AsO2
Calculated powder XRD pattern, λ = 1.5418 Å (Cu Kα). Input: a cell relaxed with GGA-PBE.

Principal peaks in the range 15° ≤ 2θ ≤ 90°, most intense first:
two_theta	I/Imax	h k l
21.4	1000	0 0 4
26.0	792	1 3 1
36.5	399	3 3 1
42.3	371	4 0 4
36.0	327	4 0 0
26.2	311	2 2 2
20.0	307	1 1 3
37.3	306	1 3 5
30.2	296	1 3 3
45.6	291	3 3 5
29.5	254	1 1 5
42.9	223	2 4 4

Cell lengths 9.9785, 11.2269, 16.5841 Å; angles 90.00, 90.00, 90.00 degrees
Space group Fddd (No. 70, origin choice 2)
Unique sites:
1 Cd 0.0148 0.0553 0.2774 (multiplicity 32)
2 As 0.0000 0.0000 0.5000 (multiplicity 16)
3 O 0.0956 0.3718 0.8302 (multiplicity 32)